This entry pairs a crystal structure of YCoCl6 with its simulated PXRD pattern. Radiation: a wavelength of 1.5418 Å. Structure: the PBE geometry in OQMD.

Largest 10 diffraction maxima, low angle first, 2θ from 10° to 80°:
d [Å]	two_theta	intensity
5.940	14.92	78
5.494	16.13	17
5.253	16.88	30
4.683	18.95	20
3.125	28.56	30
2.585	34.70	100
1.986	45.69	17
1.833	49.75	27
1.823	50.03	30
1.751	52.24	15

Crystal structure
```
YCoCl6
1.0
3.177 -5.494 0.000
3.177 5.494 0.000
-2.127 0.000 5.940
Y Co Cl
1 1 6
Direct
0.000 0.000 0.000 Y
0.667 0.333 0.000 Co
0.032 0.410 0.230 Cl
0.303 0.259 0.771 Cl
0.454 0.118 0.225 Cl
0.590 0.968 0.770 Cl
0.741 0.697 0.229 Cl
0.882 0.546 0.775 Cl
```